Computed XRD peak list
Compound: AlPb3
Radiation: Cu Kα X-rays
Structure: a crystal structure in Alexandria, relaxed with PBE

Principal peaks in the range 2θ from 10° to 80°, sorted by position:
2theta	I (rel.)
26.6	22
30.7	100
32.0	24
35.7	14
37.1	52
48.7	19
50.0	28
57.5	16
59.8	28
63.0	17

Cell and atoms:
```
data_AlPb3
_chemical_formula_sum 'Al1 Pb3'
_cell_length_a 10.271
_cell_length_b 10.271
_cell_length_c 10.271
_cell_angle_alpha 20.45
_cell_angle_beta 20.45
_cell_angle_gamma 20.45
_symmetry_space_group_name_H-M 'P 1'
_symmetry_Int_Tables_number 1
_symmetry_space_group_name_Hall 'P 1'
loop_
_atom_site_label
_atom_site_type_symbol
_atom_site_fract_x
_atom_site_fract_y
_atom_site_fract_z
_atom_site_occupancy
Al1 Al 0.000 0.000 0.000 1
Pb1 Pb 0.262 0.262 0.262 1
Pb2 Pb 0.500 0.500 0.500 1
Pb3 Pb 0.738 0.738 0.738 1
```